This entry pairs a crystal structure of CeTaVSi2 with its computed PXRD pattern. Radiation: Cu Kα X-rays. Structure: a structure optimized by DFT (PBE).
Kinematic intensities with the Lorentz-polarization factor, no thermal factor.

Top 10 peaks for 15° ≤ 2θ ≤ 90°, by angle:
d/Å	2θ/deg	I_rel
3.756	23.69	474
2.871	31.15	245
2.757	32.47	375
2.524	35.57	1000
1.988	45.64	491
1.634	56.30	184
1.612	57.14	153
1.582	58.32	178
1.405	66.53	220
1.228	77.79	202

Atomic structure:
Cell lengths 6.394, 6.394, 6.394 Å; angles 143.78, 143.78, 52.15 degrees
Atoms (fractional coordinates):
Ce (0.000, 0.000, 0.000)
Ta (0.250, 0.750, 0.500)
V (0.750, 0.250, 0.500)
Si (0.394, 0.394, 0.000)
Si (0.606, 0.606, 0.000)